# Sr5Cr3F19
Calculated XRD peak list, λ = 1.5418 Å (Cu Kα). Input: a DFT-relaxed cell (PBE+U, the Materials Project).
No peak broadening, texture or thermal motion is included.

Main lines, by angle (2θ = 5–70°):
3.693 Å, rel. 54
3.661 Å, rel. 53
3.509 Å, rel. 39
3.298 Å, rel. 44
3.286 Å, rel. 64
3.265 Å, rel. 100
3.228 Å, rel. 45
3.186 Å, rel. 38
3.142 Å, rel. 43
1.847 Å, rel. 41

Crystal structure
Cell lengths 7.395, 10.843, 10.918 Å; angles 84.63, 72.28, 71.98 degrees
Positions (direct):
Sr 0.000 0.000 0.000
Sr 0.001 0.674 0.805
Sr 0.191 0.820 0.302
Sr 0.346 0.174 0.654
Sr 0.526 0.320 0.154
Sr 0.529 0.993 0.963
Sr 0.544 0.774 0.643
Sr 0.707 0.335 0.758
Sr 0.820 0.668 0.203
Sr 0.998 0.216 0.314
Cr 0.052 0.502 0.481
Cr 0.107 0.332 0.966
Cr 0.419 0.663 0.996
Cr 0.550 0.495 0.475
Cr 0.588 0.016 0.315
Cr 0.946 0.980 0.644
F 0.022 0.011 0.460
F 0.041 0.114 0.686
F 0.094 0.332 0.556
F 0.127 0.031 0.181
F 0.182 0.653 0.131
F 0.191 0.838 0.632
F 0.215 0.147 0.925
F 0.231 0.435 0.320
F 0.232 0.297 0.105
F 0.257 0.552 0.528
F 0.289 0.697 0.859
F 0.314 0.847 0.033
F 0.339 0.150 0.332
F 0.339 0.348 0.826
F 0.415 0.960 0.779
F 0.493 0.883 0.269
F 0.517 0.981 0.498
F 0.529 0.477 0.964
F 0.532 0.542 0.645
F 0.534 0.651 0.136
F 0.547 0.671 0.419
F 0.556 0.325 0.543
F 0.618 0.438 0.301
F 0.643 0.705 0.868
F 0.649 0.061 0.133
F 0.678 0.188 0.936
F 0.690 0.116 0.678
F 0.697 0.154 0.329
F 0.839 0.841 0.632
F 0.843 0.807 0.020
F 0.847 0.453 0.426
F 0.851 0.885 0.271
F 0.878 0.574 0.646
F 0.880 0.939 0.827
F 0.891 0.283 0.096
F 0.977 0.670 0.401
F 0.981 0.353 0.831
F 0.998 0.517 0.000